No. 1
TaB4As: computed X-ray powder pattern (CuKα), based on a crystal structure in OQMD, relaxed with PBE.

Top 8 peaks for 10 to 80 degrees two-theta, in order of rising 2θ:
- 2θ = 11.97°, d 7.395, intensity 52
- 2θ = 24.07°, d 3.698, intensity 47
- 2θ = 33.85°, d 2.648, intensity 71
- 2θ = 36.02°, d 2.493, intensity 20
- 2θ = 41.96°, d 2.153, intensity 100
- 2θ = 60.55°, d 1.529, intensity 18
- 2θ = 61.13°, d 1.516, intensity 27
- 2θ = 66.13°, d 1.413, intensity 19

```
6
Lattice="3.0581 0.0000 0.0000 -1.5290 2.6484 0.0000 0.0000 0.0000 7.3954" Properties=species:S:1:pos:R:3 pbc="T T T"
Ta 0.0000 0.0000 0.0000
B 0.0000 1.7656 1.6899
B 0.0000 1.7656 5.7055
B 1.5290 0.8828 1.6899
B 1.5290 0.8828 5.7055
As 0.0000 0.0000 3.6977
```

---

No. 2
TlMo3As5: computed X-ray powder pattern (CuKα), based on a crystal structure in OQMD, relaxed with PBE.

Top 8 peaks for 10 to 80 degrees two-theta, in order of rising 2θ:
- 2θ = 22.18°, d 4.008, intensity 49
- 2θ = 29.67°, d 3.011, intensity 66
- 2θ = 33.37°, d 2.685, intensity 54
- 2θ = 35.30°, d 2.542, intensity 27
- 2θ = 38.72°, d 2.325, intensity 26
- 2θ = 39.31°, d 2.292, intensity 24
- 2θ = 45.25°, d 2.004, intensity 100
- 2θ = 45.94°, d 1.976, intensity 21

```
9
Lattice="5.3700 0.0000 0.0000 -2.6850 4.6506 0.0000 0.0000 0.0000 7.9022" Properties=species:S:1:pos:R:3 pbc="T T T"
Tl 0.0000 0.0000 0.0000
Mo -1.3425 2.3253 3.9511
Mo 2.6850 0.0000 3.9511
Mo 1.3425 2.3253 3.9511
As 0.0000 0.0000 3.9511
As 0.0000 3.1004 1.7918
As 0.0000 3.1004 6.1103
As 2.6850 1.5502 1.7918
As 2.6850 1.5502 6.1103
```

---

No. 3
TbGdNi2: computed X-ray powder pattern (CuKα), based on a crystal structure in OQMD, relaxed with PBE.

Top 8 peaks for 10 to 80 degrees two-theta, in order of rising 2θ:
- 2θ = 27.15°, d 3.284, intensity 40
- 2θ = 33.24°, d 2.695, intensity 100
- 2θ = 35.11°, d 2.556, intensity 27
- 2θ = 35.89°, d 2.502, intensity 40
- 2θ = 41.81°, d 2.161, intensity 50
- 2θ = 42.17°, d 2.143, intensity 29
- 2θ = 49.47°, d 1.843, intensity 18
- 2θ = 56.55°, d 1.627, intensity 21

```
8
Lattice="4.2856 0.0000 0.0000 0.0000 3.6851 0.0000 0.0000 0.0000 10.2223" Properties=species:S:1:pos:R:3 pbc="T T T"
Tb 0.0000 0.0000 0.0000
Tb 0.0000 1.8425 5.1112
Gd 2.1428 0.0000 7.3981
Gd 2.1428 1.8425 2.2869
Ni 0.0000 0.0000 2.9587
Ni 0.0000 1.8425 8.0699
Ni 2.1428 0.0000 4.4521
Ni 2.1428 1.8425 9.5632
```

---

No. 4
Tm3Lu5Te: computed X-ray powder pattern (CuKα), based on a crystal structure in OQMD, relaxed with PBE.

Top 8 peaks for 10 to 80 degrees two-theta, in order of rising 2θ:
- 2θ = 30.20°, d 2.959, intensity 38
- 2θ = 31.25°, d 2.862, intensity 100
- 2θ = 33.33°, d 2.688, intensity 55
- 2θ = 34.36°, d 2.610, intensity 78
- 2θ = 38.98°, d 2.311, intensity 25
- 2θ = 49.28°, d 1.849, intensity 16
- 2θ = 57.00°, d 1.616, intensity 36
- 2θ = 61.47°, d 1.508, intensity 35

```
9
Lattice="9.0410 0.0000 0.0000 -4.5205 7.8297 0.0000 0.0000 0.0000 3.6982" Properties=species:S:1:pos:R:3 pbc="T T T"
Tm -1.2535 2.1711 0.0000
Tm 2.5070 0.0000 0.0000
Tm 3.2670 5.6586 0.0000
Lu -2.7751 4.8067 1.8491
Lu 0.0000 5.2198 0.0000
Lu 1.7454 3.0231 1.8491
Lu 5.5503 0.0000 1.8491
Lu 4.5205 2.6099 0.0000
Te 0.0000 0.0000 1.8491
```

---

No. 5
CsTm2Mg2As3: computed X-ray powder pattern (CuKα), based on a crystal structure in OQMD, relaxed with PBE.

Top 8 peaks for 10 to 80 degrees two-theta, in order of rising 2θ:
- 2θ = 20.87°, d 4.257, intensity 40
- 2θ = 25.13°, d 3.543, intensity 100
- 2θ = 28.53°, d 3.128, intensity 37
- 2θ = 36.78°, d 2.444, intensity 34
- 2θ = 39.06°, d 2.306, intensity 45
- 2θ = 42.86°, d 2.110, intensity 43
- 2θ = 47.02°, d 1.933, intensity 37
- 2θ = 73.38°, d 1.290, intensity 18

```
8
Lattice="4.6119 0.0000 0.0000 0.0000 4.6119 0.0000 0.0000 0.0000 11.0714" Properties=species:S:1:pos:R:3 pbc="T T T"
Cs 0.0000 0.0000 0.0000
Tm 0.0000 2.3059 3.8908
Tm 2.3059 0.0000 7.1806
Mg 0.0000 2.3059 7.4057
Mg 2.3059 0.0000 3.6657
As 0.0000 0.0000 5.5357
As 2.3059 2.3059 2.3301
As 2.3059 2.3059 8.7413
```

---

No. 6
Y4GaNi2Ge4: computed X-ray powder pattern (CuKα), based on a crystal structure in OQMD, relaxed with PBE.

Top 8 peaks for 10 to 80 degrees two-theta, in order of rising 2θ:
- 2θ = 33.56°, d 2.670, intensity 89
- 2θ = 34.83°, d 2.576, intensity 100
- 2θ = 36.34°, d 2.472, intensity 42
- 2θ = 36.49°, d 2.463, intensity 60
- 2θ = 37.41°, d 2.404, intensity 45
- 2θ = 38.50°, d 2.338, intensity 27
- 2θ = 40.96°, d 2.203, intensity 35
- 2θ = 42.69°, d 2.118, intensity 67

```
11
Lattice="7.6816 -2.1180 0.0000 7.6816 2.1180 0.0000 -2.1709 0.0000 6.6102" Properties=species:S:1:pos:R:3 pbc="T T T"
Y 0.5256 0.0000 2.5235
Y 0.3105 0.0000 6.2130
Y 12.8818 0.0000 0.3972
Y 12.6667 0.0000 4.0867
Ga 7.6816 0.0000 0.0000
Ni 3.5675 0.0000 2.3747
Ni 9.6248 0.0000 4.2355
Ge 2.9741 0.0000 4.8140
Ge 5.9547 0.0000 2.2091
Ge 7.2376 0.0000 4.4011
Ge 10.2183 0.0000 1.7962
```

---

No. 7
KErSeO: computed X-ray powder pattern (CuKα), based on a crystal structure in OQMD, relaxed with PBE.

Top 8 peaks for 10 to 80 degrees two-theta, in order of rising 2θ:
- 2θ = 11.60°, d 7.626, intensity 100
- 2θ = 23.34°, d 3.812, intensity 17
- 2θ = 27.55°, d 3.238, intensity 18
- 2θ = 28.11°, d 3.175, intensity 28
- 2θ = 29.33°, d 3.045, intensity 54
- 2θ = 32.68°, d 2.740, intensity 37
- 2θ = 34.87°, d 2.573, intensity 28
- 2θ = 38.67°, d 2.328, intensity 36

```
16
Lattice="7.7878 0.0000 0.0000 0.0000 7.3414 0.0000 -1.3140 0.0000 6.3488" Properties=species:S:1:pos:R:3 pbc="T T T"
K 0.0619 1.6279 3.0845
K -0.5951 2.0428 6.2589
K 7.0689 5.2986 0.0899
K 6.4119 5.7136 3.2643
Er 2.6763 4.6061 4.9440
Er 3.3333 6.4061 1.7696
Er 3.1405 0.9353 4.5792
Er 3.7975 2.7354 1.4048
Se 1.4249 4.3307 2.2748
Se 0.7679 6.6814 5.4492
Se 5.7058 0.6600 0.8997
Se 5.0488 3.0107 4.0741
O 2.6654 1.0889 2.4371
O 2.0085 2.5818 5.6116
O 4.4653 4.7596 0.7373
O 3.8083 6.2525 3.9117
```

---

No. 8
BaErTlS3: computed X-ray powder pattern (CuKα), based on a crystal structure in OQMD, relaxed with PBE.

Top 8 peaks for 10 to 80 degrees two-theta, in order of rising 2θ:
- 2θ = 11.43°, d 7.740, intensity 30
- 2θ = 19.04°, d 4.662, intensity 39
- 2θ = 27.22°, d 3.276, intensity 63
- 2θ = 27.65°, d 3.226, intensity 45
- 2θ = 27.82°, d 3.207, intensity 100
- 2θ = 30.62°, d 2.920, intensity 51
- 2θ = 36.37°, d 2.470, intensity 25
- 2θ = 41.84°, d 2.159, intensity 66

```
12
Lattice="2.0466 -7.7397 0.0000 2.0466 7.7397 0.0000 0.0000 0.0000 11.6792" Properties=species:S:1:pos:R:3 pbc="T T T"
Ba 2.0466 5.2972 8.7594
Ba 2.0466 -5.2972 2.9198
Er 2.0466 0.0000 0.0000
Er 2.0466 0.0000 5.8396
Tl 2.0466 5.7141 2.9198
Tl 2.0466 -5.7141 8.7594
S 2.0466 5.9626 5.8656
S 2.0466 5.9626 11.6532
S 2.0466 0.0675 2.9198
S 2.0466 -0.0675 8.7594
S 2.0466 -5.9626 0.0260
S 2.0466 -5.9626 5.8136
```